Computed powder diffraction line list
Compound: CaTa2Tl
Radiation: Cu Kα (λ = 1.5418 Å)
Structure: a DFT-relaxed cell (PBE, the Materials Project)
Intensities are scaled so that the largest is 100.

Crystal structure
Unit cell a=4.960 b=4.960 c=4.960 alpha=60.00 beta=60.00 gamma=60.00
Fractional positions:
Ca 0.000 0.000 0.000
Ta 0.250 0.250 0.250
Ta 0.500 0.500 0.500
Tl 0.750 0.750 0.750

Peak list (10 most intense, 2θ = 15–90°, most intense first)
2θ (°)  I/Imax
36.23  100
65.16  36
52.16  18
88.08  17
21.95  12
76.89  11
25.40  8
42.76  7
58.89  4
57.25  3